PrBO3: calculated powder diffractogram (Cu Kα (λ = 1.5418 Å)), based on a DFT-relaxed cell (PBE, the Materials Project).
Kinematic intensities with the Lorentz-polarization factor, no thermal factor.

Structure:
```
data_PrBO3
_chemical_formula_sum 'Pr4 B4 O12'
_symmetry_space_group_name_H-M 'P n m a'
_symmetry_Int_Tables_number 62
_cell_length_a 5.837
_cell_length_b 5.096
_cell_length_c 8.229
_cell_angle_alpha 90.00
_cell_angle_beta 90.00
_cell_angle_gamma 90.00
loop_
_symmetry_equiv_pos_as_xyz
'x,y,z'
'-x,-y,-z'
'-x+1/2,-y,z+1/2'
'x+1/2,y,-z+1/2'
'x+1/2,-y+1/2,-z+1/2'
'-x+1/2,y+1/2,z+1/2'
'-x,y+1/2,-z'
'x,-y+1/2,z'
loop_
_atom_site_label
_atom_site_type_symbol
_atom_site_fract_x
_atom_site_fract_y
_atom_site_fract_z
Pr1 Pr 0.241 0.250 0.084
B1 B 0.085 0.250 0.739
O1 O 0.090 0.016 0.823
O2 O 0.098 0.250 0.571
```

The 10 most intense peaks (10 to 80 degrees two-theta), in order of falling intensity:
| d/Å | Position (°2θ) | Rel. int. |
| --- | --- | --- |
| 3.479 | 25.61 | 100 |
| 3.363 | 26.50 | 48 |
| 2.417 | 37.19 | 44 |
| 2.031 | 44.62 | 36 |
| 1.861 | 48.95 | 27 |
| 1.775 | 51.48 | 21 |
| 4.332 | 20.50 | 17 |
| 2.919 | 30.63 | 17 |
| 1.940 | 46.82 | 16 |
| 1.919 | 47.36 | 15 |

PrSc3B4O12: calculated powder diffractogram (Cu Kα (λ = 1.5418 Å)), based on a DFT-relaxed cell (PBE, the Materials Project).
Kinematic intensities with the Lorentz-polarization factor, no thermal factor.

Structure:
```
data_PrSc3B4O12
_chemical_formula_sum 'Pr4 Sc12 B16 O48'
_symmetry_space_group_name_H-M 'C 1 2/c 1'
_symmetry_Int_Tables_number 15
_cell_length_a 7.801
_cell_length_b 9.917
_cell_length_c 12.160
_cell_angle_alpha 90.00
_cell_angle_beta 105.39
_cell_angle_gamma 90.00
loop_
_symmetry_equiv_pos_as_xyz
'x,y,z'
'-x,-y,-z'
'-x,y,-z+1/2'
'x,-y,z+1/2'
'x+1/2,y+1/2,z'
'-x+1/2,-y+1/2,-z'
'-x+1/2,y+1/2,-z+1/2'
'x+1/2,-y+1/2,z+1/2'
loop_
_atom_site_label
_atom_site_type_symbol
_atom_site_fract_x
_atom_site_fract_y
_atom_site_fract_z
Pr1 Pr 0.000 0.032 0.250
Sc1 Sc 0.000 0.426 0.750
Sc2 Sc 0.047 0.250 0.524
B1 B 0.202 0.303 0.226
B2 B 0.246 0.024 0.000
O1 O 0.070 0.233 0.149
O2 O 0.098 0.089 0.932
O3 O 0.112 0.404 0.932
O4 O 0.160 0.271 0.705
O5 O 0.202 0.442 0.239
O6 O 0.248 0.116 0.496
```

The 10 most intense peaks (10 to 80 degrees two-theta), in order of falling intensity:
| d/Å | Position (°2θ) | Rel. int. |
| --- | --- | --- |
| 2.931 | 30.50 | 100 |
| 3.786 | 23.50 | 38 |
| 5.993 | 14.78 | 28 |
| 3.761 | 23.66 | 22 |
| 1.822 | 50.06 | 17 |
| 1.817 | 50.20 | 17 |
| 4.719 | 18.81 | 16 |
| 5.862 | 15.11 | 15 |
| 2.481 | 36.21 | 12 |
| 3.064 | 29.15 | 12 |

BPtO3: calculated powder diffractogram (Cu Kα (λ = 1.5418 Å)), based on a DFT-relaxed cell (PBE, the Materials Project).
Kinematic intensities with the Lorentz-polarization factor, no thermal factor.

Structure:
```
data_BPtO3
_chemical_formula_sum 'B1 Pt1 O3'
_symmetry_space_group_name_H-M 'P m -3 m'
_symmetry_Int_Tables_number 221
_symmetry_space_group_name_Hall '-P 4 2 3'
_cell_length_a 3.447
_cell_length_b 3.447
_cell_length_c 3.447
_cell_angle_alpha 90.00
_cell_angle_beta 90.00
_cell_angle_gamma 90.00
loop_
_atom_site_label
_atom_site_type_symbol
_atom_site_fract_x
_atom_site_fract_y
_atom_site_fract_z
B1 B 0.000 0.000 0.000
Pt1 Pt 0.500 0.500 0.500
O1 O 0.000 0.000 0.500
```

The 7 most intense peaks (10 to 80 degrees two-theta), in order of falling intensity:
| d/Å | Position (°2θ) | Rel. int. |
| --- | --- | --- |
| 3.447 | 25.85 | 100 |
| 2.438 | 36.87 | 99 |
| 1.990 | 45.58 | 58 |
| 1.542 | 60.01 | 44 |
| 1.407 | 66.43 | 37 |
| 1.724 | 53.14 | 30 |
| 1.219 | 78.47 | 18 |

PuBO3: calculated powder diffractogram (Cu Kα (λ = 1.5418 Å)), based on a DFT-relaxed cell (PBE, the Materials Project).
Kinematic intensities with the Lorentz-polarization factor, no thermal factor.

Structure:
```
data_PuBO3
_chemical_formula_sum 'Pu1 B1 O3'
_symmetry_space_group_name_H-M 'P m -3 m'
_symmetry_Int_Tables_number 221
_symmetry_space_group_name_Hall '-P 4 2 3'
_cell_length_a 3.563
_cell_length_b 3.563
_cell_length_c 3.563
_cell_angle_alpha 90.00
_cell_angle_beta 90.00
_cell_angle_gamma 90.00
loop_
_atom_site_label
_atom_site_type_symbol
_atom_site_fract_x
_atom_site_fract_y
_atom_site_fract_z
Pu1 Pu 0.000 0.000 0.000
B1 B 0.500 0.500 0.500
O1 O 0.000 0.500 0.500
```

The 7 most intense peaks (10 to 80 degrees two-theta), in order of falling intensity:
| d/Å | Position (°2θ) | Rel. int. |
| --- | --- | --- |
| 3.563 | 24.99 | 100 |
| 2.519 | 35.64 | 97 |
| 2.057 | 44.02 | 54 |
| 1.593 | 57.87 | 45 |
| 1.455 | 64.01 | 38 |
| 1.781 | 51.28 | 28 |
| 1.260 | 75.47 | 17 |